# TiSi2O6
Theoretical X-ray diffraction stick pattern, CuKα. Input: a GGA-PBE-relaxed structure.

Top 10 peaks for 10 to 80 degrees two-theta, by angle:
- 2θ = 13.93°, I = 33
- 2θ = 19.69°, I = 73
- 2θ = 20.10°, I = 45
- 2θ = 25.04°, I = 37
- 2θ = 29.41°, I = 100
- 2θ = 30.99°, I = 58
- 2θ = 35.65°, I = 32
- 2θ = 36.86°, I = 19
- 2θ = 41.60°, I = 18
- 2θ = 56.59°, I = 17

Crystal structure
abc: 6.582 6.582 5.366
angles: 104.79 104.79 84.34
Sites, in units of the cell vectors:
Ti  0.110  0.890  0.750
Ti  0.890  0.110  0.250
Si  0.215  0.380  0.750
Si  0.380  0.215  0.250
Si  0.620  0.785  0.750
Si  0.785  0.620  0.250
O  0.048  0.185  0.632
O  0.106  0.617  0.775
O  0.185  0.048  0.132
O  0.348  0.367  0.045
O  0.367  0.348  0.545
O  0.383  0.894  0.725
O  0.617  0.106  0.275
O  0.633  0.652  0.455
O  0.652  0.633  0.955
O  0.815  0.952  0.868
O  0.894  0.383  0.225
O  0.952  0.815  0.368



# Ti4Si3O24
Theoretical X-ray diffraction stick pattern, CuKα. Input: a GGA-PBE-relaxed structure.

Top 10 peaks for 10 to 80 degrees two-theta, by angle:
- 2θ = 11.19°, I = 100
- 2θ = 15.85°, I = 10
- 2θ = 19.44°, I = 23
- 2θ = 27.63°, I = 48
- 2θ = 32.02°, I = 19
- 2θ = 35.92°, I = 19
- 2θ = 48.87°, I = 12
- 2θ = 51.70°, I = 9
- 2θ = 64.56°, I = 9
- 2θ = 66.95°, I = 11

Crystal structure
abc: 7.907 7.907 7.907
angles: 90.00 90.00 90.00
Sites, in units of the cell vectors:
Ti  0.153  0.153  0.153
Ti  0.153  0.847  0.847
Ti  0.847  0.153  0.847
Ti  0.847  0.847  0.153
Si  0.000  0.000  0.500
Si  0.000  0.500  0.000
Si  0.500  0.000  0.000
O  0.000  0.500  0.500
O  0.108  0.108  0.892
O  0.108  0.892  0.108
O  0.121  0.121  0.382
O  0.121  0.382  0.121
O  0.121  0.618  0.879
O  0.121  0.879  0.618
O  0.339  0.339  0.661
O  0.339  0.661  0.339
O  0.382  0.121  0.121
O  0.382  0.879  0.879
O  0.500  0.000  0.500
O  0.500  0.500  0.000
O  0.500  0.500  0.500
O  0.618  0.121  0.879
O  0.618  0.879  0.121
O  0.661  0.339  0.339
O  0.661  0.661  0.661
O  0.879  0.121  0.618
O  0.879  0.382  0.879
O  0.879  0.618  0.121
O  0.879  0.879  0.382
O  0.892  0.108  0.108
O  0.892  0.892  0.892



# TiSi4O10
Theoretical X-ray diffraction stick pattern, CuKα. Input: a GGA-PBE-relaxed structure.

Top 10 peaks for 10 to 80 degrees two-theta, by angle:
- 2θ = 16.87°, I = 47
- 2θ = 20.66°, I = 28
- 2θ = 23.80°, I = 64
- 2θ = 23.94°, I = 61
- 2θ = 26.73°, I = 100
- 2θ = 27.49°, I = 27
- 2θ = 29.40°, I = 53
- 2θ = 34.01°, I = 24
- 2θ = 38.08°, I = 25
- 2θ = 50.55°, I = 19

Crystal structure
abc: 7.433 7.433 14.955
angles: 90.00 90.00 90.00
Sites, in units of the cell vectors:
Ti  0.250  0.250  0.053
Ti  0.250  0.250  0.553
Ti  0.750  0.750  0.447
Ti  0.750  0.750  0.947
Si  0.012  0.068  0.355
Si  0.012  0.432  0.855
Si  0.068  0.012  0.855
Si  0.068  0.488  0.355
Si  0.432  0.012  0.355
Si  0.432  0.488  0.855
Si  0.488  0.068  0.855
Si  0.488  0.432  0.355
Si  0.512  0.568  0.645
Si  0.512  0.932  0.145
Si  0.568  0.512  0.145
Si  0.568  0.988  0.645
Si  0.932  0.512  0.645
Si  0.932  0.988  0.145
Si  0.988  0.568  0.145
Si  0.988  0.932  0.645
O  0.004  0.217  0.878
O  0.004  0.283  0.378
O  0.033  0.533  0.250
O  0.033  0.967  0.750
O  0.036  0.133  0.084
O  0.036  0.367  0.584
O  0.133  0.036  0.584
O  0.133  0.464  0.084
O  0.217  0.004  0.378
O  0.217  0.496  0.878
O  0.283  0.004  0.878
O  0.283  0.496  0.378
O  0.367  0.036  0.084
O  0.367  0.464  0.584
O  0.464  0.133  0.584
O  0.464  0.367  0.084
O  0.467  0.533  0.750
O  0.467  0.967  0.250
O  0.496  0.217  0.378
O  0.496  0.283  0.878
O  0.504  0.717  0.122
O  0.504  0.783  0.622
O  0.533  0.033  0.750
O  0.533  0.467  0.250
O  0.536  0.633  0.916
O  0.536  0.867  0.416
O  0.633  0.536  0.416
O  0.633  0.964  0.916
O  0.717  0.504  0.622
O  0.717  0.996  0.122
O  0.783  0.504  0.122
O  0.783  0.996  0.622
O  0.867  0.536  0.916
O  0.867  0.964  0.416
O  0.964  0.633  0.416
O  0.964  0.867  0.916
O  0.967  0.033  0.250
O  0.967  0.467  0.750
O  0.996  0.717  0.622
O  0.996  0.783  0.122



# TiZnSi2O6
Theoretical X-ray diffraction stick pattern, CuKα. Input: a GGA-PBE-relaxed structure.

Top 10 peaks for 10 to 80 degrees two-theta, by angle:
- 2θ = 18.65°, I = 41
- 2θ = 26.99°, I = 54
- 2θ = 28.89°, I = 78
- 2θ = 29.78°, I = 100
- 2θ = 34.04°, I = 82
- 2θ = 35.75°, I = 73
- 2θ = 40.95°, I = 62
- 2θ = 43.29°, I = 26
- 2θ = 54.76°, I = 32
- 2θ = 65.24°, I = 35

Crystal structure
abc: 6.802 6.802 5.294
angles: 103.57 103.57 84.90
Sites, in units of the cell vectors:
Ti  0.082  0.918  0.750
Ti  0.918  0.082  0.250
Zn  0.259  0.741  0.250
Zn  0.741  0.259  0.750
Si  0.212  0.392  0.766
Si  0.392  0.212  0.266
Si  0.608  0.788  0.734
Si  0.788  0.608  0.234
O  0.032  0.224  0.657
O  0.140  0.626  0.868
O  0.224  0.032  0.157
O  0.328  0.375  0.521
O  0.374  0.860  0.632
O  0.375  0.328  0.021
O  0.625  0.672  0.979
O  0.626  0.140  0.368
O  0.672  0.625  0.479
O  0.776  0.968  0.843
O  0.860  0.374  0.132
O  0.968  0.776  0.343



# Ti2Zn3Si4O14
Theoretical X-ray diffraction stick pattern, CuKα. Input: a GGA-PBE-relaxed structure.

Top 10 peaks for 10 to 80 degrees two-theta, by angle:
- 2θ = 27.86°, I = 85
- 2θ = 29.54°, I = 78
- 2θ = 29.75°, I = 36
- 2θ = 30.92°, I = 100
- 2θ = 31.66°, I = 35
- 2θ = 38.09°, I = 23
- 2θ = 38.27°, I = 25
- 2θ = 40.04°, I = 21
- 2θ = 41.89°, I = 27
- 2θ = 44.90°, I = 23

Crystal structure
abc: 9.197 9.197 9.805
angles: 118.70 118.70 49.57
Sites, in units of the cell vectors:
Ti  0.000  0.000  0.000
Ti  0.000  0.000  0.500
Ti  0.186  0.814  0.750
Ti  0.814  0.186  0.250
Zn  0.073  0.284  0.911
Zn  0.284  0.073  0.411
Zn  0.394  0.606  0.250
Zn  0.606  0.394  0.750
Zn  0.716  0.927  0.589
Zn  0.927  0.716  0.089
Si  0.107  0.524  0.789
Si  0.234  0.525  0.401
Si  0.475  0.766  0.099
Si  0.476  0.893  0.711
Si  0.524  0.107  0.289
Si  0.525  0.234  0.901
Si  0.766  0.475  0.599
Si  0.893  0.476  0.211
O  0.052  0.512  0.376
O  0.056  0.110  0.414
O  0.060  0.741  0.824
O  0.103  0.488  0.934
O  0.110  0.056  0.914
O  0.158  0.711  0.339
O  0.259  0.940  0.676
O  0.289  0.842  0.161
O  0.334  0.357  0.766
O  0.353  0.541  0.589
O  0.357  0.334  0.266
O  0.459  0.647  0.911
O  0.488  0.103  0.434
O  0.488  0.948  0.124
O  0.512  0.052  0.876
O  0.512  0.897  0.566
O  0.541  0.353  0.089
O  0.643  0.666  0.734
O  0.647  0.459  0.411
O  0.666  0.643  0.234
O  0.711  0.158  0.839
O  0.741  0.060  0.324
O  0.842  0.289  0.661
O  0.890  0.944  0.086
O  0.897  0.512  0.066
O  0.940  0.259  0.176
O  0.944  0.890  0.586
O  0.948  0.488  0.624